Structure and simulated powder diffractogram of Na3ScZnP2SO12 (a crystal structure in the Materials Project, relaxed with PBE; Cu Ka).
Kinematic intensities with the Lorentz-polarization factor, no thermal factor.

Top 10 peaks for 2θ = 5–70°, in order of rising 2θ:
(hkl)  d/Å  2theta  I_rel
1 1 -1  6.364  13.9  42
3 1 -1  4.525  19.6  57
2 0 -2  4.498  19.7  46
3 1 0  3.873  23.0  44
0 2 1  3.840  23.2  85
5 1 -2  2.927  30.5  39
3 1 1  2.877  31.1  57
0 2 2  2.857  31.3  62
3 1 -3  2.845  31.4  58
3 3 -1  2.605  34.4  100

Crystal structure
```
data_Na3ScZnP2SO12
_chemical_formula_sum 'Na12 Sc4 Zn4 P8 S4 O48'
_cell_length_a 15.6549
_cell_length_b 9.0068
_cell_length_c 8.9932
_cell_angle_alpha 90.00
_cell_angle_beta 124.70
_cell_angle_gamma 90.00
_symmetry_space_group_name_H-M 'C 1 c 1'
_symmetry_Int_Tables_number 9
loop_
_symmetry_equiv_pos_as_xyz
'x,y,z'
'x,-y,z+1/2'
'x+1/2,y+1/2,z'
'x+1/2,-y+1/2,z+1/2'
loop_
_atom_site_label
_atom_site_fract_x
_atom_site_fract_y
_atom_site_fract_z
Na1 0.0000 0.0681 0.0000
Na2 0.0743 0.2370 0.7497
Na3 0.1363 0.4324 0.4957
Sc1 0.4017 0.2524 0.7817
Zn1 0.2147 0.2413 0.1892
P1 0.1542 0.1003 0.4665
P2 0.3043 0.4522 0.9762
S1 0.4581 0.0993 0.4823
O1 0.0461 0.3334 0.9865
O2 0.0655 0.1815 0.4685
O3 0.1422 0.1316 0.2875
O4 0.1446 0.0676 0.9861
O5 0.2308 0.3555 0.9974
O6 0.2363 0.4523 0.3049
O7 0.2573 0.1693 0.6266
O8 0.3624 0.1627 0.3241
O9 0.3734 0.4447 0.6439
O10 0.3847 0.3574 0.9668
O11 0.4645 0.0649 0.9691
O12 0.4661 0.1298 0.6525
```